[1]
The following is a theoretical X-ray powder pattern of Rb3ErI6. It was derived from DFT lattice parameters and positions (GGA-PBE), using a wavelength of 1.5418 Å.

```
data_Rb3ErI6
_symmetry_space_group_name_H-M 'R -3 m'
_symmetry_Int_Tables_number 166
_symmetry_space_group_name_Hall '-R 3 2"'
_cell_length_a 8.6303
_cell_length_b 8.6303
_cell_length_c 25.9951
_cell_angle_alpha 90.00
_cell_angle_beta 90.00
_cell_angle_gamma 120.00
loop_
_atom_site_label
_atom_site_fract_x
_atom_site_fract_y
_atom_site_fract_z
Rb1 0.0000 0.0000 0.0000
Rb2 0.0000 0.0000 0.2094
Er1 0.0000 0.0000 0.5000
I1 0.0056 0.5028 0.2336
```

Main lines, in order of falling intensity (2θ = 5–70°):
(0 2 4), 2θ = 27.53°, intensity 100; (0 1 2), 2θ = 13.67°, intensity 60; (0 0 3), 2θ = 10.21°, intensity 56; (2 2 0), 2θ = 41.86°, intensity 54; (2 0 2), 2θ = 24.79°, intensity 50; (1 1 6), 2θ = 29.21°, intensity 32; (2 0 8), 2θ = 36.63°, intensity 32; (0 2 7), 2θ = 34.03°, intensity 30; (4 0 4), 2θ = 50.85°, intensity 18; (2 0 5), 2θ = 29.44°, intensity 17

=====

[2]
The following is a theoretical X-ray powder pattern of ErTmS2I2. It was derived from DFT lattice parameters and positions (GGA-PBE), using a wavelength of 1.5418 Å.

```
data_ErTmS2I2
_symmetry_space_group_name_H-M 'P m m 2'
_symmetry_Int_Tables_number 25
_cell_length_a 4.1265
_cell_length_b 5.3098
_cell_length_c 9.4637
_cell_angle_alpha 90.00
_cell_angle_beta 90.00
_cell_angle_gamma 90.00
loop_
_symmetry_equiv_pos_as_xyz
'x,y,z'
'-x,-y,z'
'-x,y,z'
'x,-y,z'
loop_
_atom_site_label
_atom_site_fract_x
_atom_site_fract_y
_atom_site_fract_z
Er1 0.0000 0.0000 0.0000
Tm1 0.5000 0.5000 0.2356
S1 0.0000 0.5000 0.0498
S2 0.5000 0.0000 0.1878
I1 0.0000 0.5000 0.4679
I2 0.5000 0.0000 0.7661
```

Main lines, in order of falling intensity (2θ = 5–70°):
(0 1 1), 2θ = 19.17°, intensity 100; (1 0 2), 2θ = 28.70°, intensity 92; (1 2 2), 2θ = 44.89°, intensity 55; (1 1 1), 2θ = 28.98°, intensity 51; (1 1 3), 2θ = 39.77°, intensity 41; (0 0 1), 2θ = 9.35°, intensity 40; (0 2 0), 2θ = 33.76°, intensity 33; (2 1 1), 2θ = 48.29°, intensity 18; (0 0 4), 2θ = 38.03°, intensity 16; (2 0 0), 2θ = 43.88°, intensity 16

=====

[3]
The following is a theoretical X-ray powder pattern of ErTmSiI2. It was derived from DFT lattice parameters and positions (GGA-PBE), using a wavelength of 1.5418 Å.

```
data_ErTmSiI2
_symmetry_space_group_name_H-M 'P 1'
_symmetry_Int_Tables_number 1
_cell_length_a 4.1800
_cell_length_b 4.1803
_cell_length_c 11.6220
_cell_angle_alpha 91.55
_cell_angle_beta 98.11
_cell_angle_gamma 120.00
loop_
_symmetry_equiv_pos_as_xyz
'x,y,z'
loop_
_atom_site_label
_atom_site_fract_x
_atom_site_fract_y
_atom_site_fract_z
Er1 0.0000 0.0000 0.0000
Tm1 0.4856 0.7629 0.2659
Si1 0.7430 0.3815 0.1334
I1 0.2333 0.6035 0.8254
I2 0.2520 0.1593 0.4401
```

Main lines, in order of falling intensity (2θ = 5–70°):
(0 0 1), 2θ = 7.73°, intensity 100; (1 1 -1), 2θ = 43.31°, intensity 67; (-1 1 2), 2θ = 28.33°, intensity 48; (1 0 2), 2θ = 31.89°, intensity 42; (0 1 -3), 2θ = 32.22°, intensity 37; (0 1 -2), 2θ = 27.76°, intensity 35; (0 0 2), 2θ = 15.50°, intensity 31; (1 0 1), 2θ = 27.53°, intensity 29; (1 0 0), 2θ = 25.04°, intensity 28; (-1 1 3), 2θ = 33.01°, intensity 26

=====

[4]
The following is a theoretical X-ray powder pattern of Er3In3IrPt. It was derived from DFT lattice parameters and positions (GGA-PBE), using a wavelength of 1.5418 Å.

```
data_Er3In3IrPt
_symmetry_space_group_name_H-M 'P -6'
_symmetry_Int_Tables_number 174
_cell_length_a 7.6262
_cell_length_b 7.6262
_cell_length_c 3.6200
_cell_angle_alpha 90.00
_cell_angle_beta 90.00
_cell_angle_gamma 120.00
loop_
_symmetry_equiv_pos_as_xyz
'x,y,z'
'-x+y,-x,-z'
'-y,x-y,z'
'x,y,-z'
'-x+y,-x,z'
'-y,x-y,-z'
loop_
_atom_site_label
_atom_site_fract_x
_atom_site_fract_y
_atom_site_fract_z
Er1 0.0915 0.3402 0.0000
In1 0.4345 0.3358 0.5000
Ir1 0.3333 0.6667 0.5000
Pt1 0.0000 0.0000 0.5000
```

Main lines, in order of falling intensity (2θ = 5–70°):
(1 1 1), 2θ = 34.15°, intensity 100; (2 0 1), 2θ = 36.84°, intensity 70; (1 2 0), 2θ = 35.98°, intensity 68; (1 0 0), 2θ = 13.41°, intensity 28; (2 3 1), 2θ = 66.94°, intensity 27; (1 2 2), 2θ = 63.49°, intensity 26; (3 1 1), 2θ = 56.29°, intensity 21; (3 0 0), 2θ = 41.00°, intensity 19; (0 0 2), 2θ = 50.42°, intensity 17; (3 1 0), 2θ = 49.78°, intensity 16

=====

[5]
The following is a theoretical X-ray powder pattern of Y2ErIn3Ir2. It was derived from DFT lattice parameters and positions (GGA-PBE), using a wavelength of 1.5418 Å.

```
data_Y2ErIn3Ir2
_symmetry_space_group_name_H-M 'A m m 2'
_symmetry_Int_Tables_number 38
_cell_length_a 3.6671
_cell_length_b 13.1472
_cell_length_c 7.6038
_cell_angle_alpha 90.00
_cell_angle_beta 90.00
_cell_angle_gamma 90.00
loop_
_symmetry_equiv_pos_as_xyz
'x,y,z'
'-x,-y,z'
'-x,y,z'
'x,-y,z'
'x,y+1/2,z+1/2'
'-x,-y+1/2,z+1/2'
'-x,y+1/2,z+1/2'
'x,-y+1/2,z+1/2'
loop_
_atom_site_label
_atom_site_fract_x
_atom_site_fract_y
_atom_site_fract_z
Y1 0.0000 0.2104 0.0000
Er1 0.0000 0.0000 0.3676
In1 0.5000 0.0000 0.0259
In2 0.5000 0.1173 0.6718
Ir1 0.5000 0.1640 0.2910
```

Main lines, in order of falling intensity (2θ = 5–70°):
(1 3 1), 2θ = 33.98°, intensity 100; (0 1 3), 2θ = 36.12°, intensity 73; (1 4 0), 2θ = 36.70°, intensity 68; (0 1 1), 2θ = 13.45°, intensity 32; (2 1 3), 2θ = 62.98°, intensity 28; (1 4 2), 2θ = 43.99°, intensity 25; (0 6 0), 2θ = 41.16°, intensity 23; (1 1 5), 2θ = 67.05°, intensity 19; (2 0 0), 2θ = 49.73°, intensity 18; (1 0 0), 2θ = 24.27°, intensity 16

=====

[6]
The following is a theoretical X-ray powder pattern of ErZr2In3Ir2. It was derived from DFT lattice parameters and positions (GGA-PBE), using a wavelength of 1.5418 Å.

```
data_ErZr2In3Ir2
_symmetry_space_group_name_H-M 'A m m 2'
_symmetry_Int_Tables_number 38
_cell_length_a 3.3669
_cell_length_b 13.2501
_cell_length_c 7.5582
_cell_angle_alpha 90.00
_cell_angle_beta 90.00
_cell_angle_gamma 90.00
loop_
_symmetry_equiv_pos_as_xyz
'x,y,z'
'-x,-y,z'
'-x,y,z'
'x,-y,z'
'x,y+1/2,z+1/2'
'-x,-y+1/2,z+1/2'
'-x,y+1/2,z+1/2'
'x,-y+1/2,z+1/2'
loop_
_atom_site_label
_atom_site_fract_x
_atom_site_fract_y
_atom_site_fract_z
Er1 0.0000 0.0000 0.0000
Zr1 0.0000 0.2118 0.6314
In1 0.5000 0.0000 0.6491
In2 0.5000 0.1174 0.3056
Ir1 0.5000 0.1714 0.9170
```

Main lines, in order of falling intensity (2θ = 5–70°):
(1 3 1), 2θ = 35.57°, intensity 100; (1 2 2), 2θ = 38.29°, intensity 67; (0 5 1), 2θ = 35.91°, intensity 45; (1 0 2), 2θ = 35.72°, intensity 44; (0 1 3), 2θ = 36.30°, intensity 41; (0 1 1), 2θ = 13.49°, intensity 39; (0 4 2), 2θ = 36.06°, intensity 38; (1 4 0), 2θ = 38.11°, intensity 32; (2 5 1), 2θ = 67.06°, intensity 26; (2 0 0), 2θ = 54.51°, intensity 23

=====

[7]
The following is a theoretical X-ray powder pattern of KErIn. It was derived from DFT lattice parameters and positions (GGA-PBE), using a wavelength of 1.5418 Å.

```
data_KErIn
_symmetry_space_group_name_H-M 'C m m m'
_symmetry_Int_Tables_number 65
_symmetry_space_group_name_Hall '-C 2 2'
_cell_length_a 4.6912
_cell_length_b 17.5165
_cell_length_c 4.8271
_cell_angle_alpha 90.00
_cell_angle_beta 90.00
_cell_angle_gamma 90.00
loop_
_atom_site_label
_atom_site_fract_x
_atom_site_fract_y
_atom_site_fract_z
K1 0.0000 0.0000 0.0000
K2 0.0000 0.5000 0.5000
Er1 0.0000 0.1834 0.5000
In1 0.0000 0.3152 0.0000
```

Main lines, in order of falling intensity (2θ = 5–70°):
(1 3 1), 2θ = 30.66°, intensity 100; (0 2 0), 2θ = 10.10°, intensity 62; (1 5 1), 2θ = 37.05°, intensity 23; (2 0 2), 2θ = 54.52°, intensity 15; (0 0 2), 2θ = 37.26°, intensity 14; (2 0 0), 2θ = 38.38°, intensity 13; (1 3 3), 2θ = 63.13°, intensity 10; (3 3 1), 2θ = 64.66°, intensity 10; (0 6 2), 2θ = 48.97°, intensity 8; (2 6 0), 2θ = 49.87°, intensity 8

=====

[8]
The following is a theoretical X-ray powder pattern of ErLuIn2Ni4. It was derived from DFT lattice parameters and positions (GGA-PBE), using a wavelength of 1.5418 Å.

```
data_ErLuIn2Ni4
_symmetry_space_group_name_H-M 'P m m 2'
_symmetry_Int_Tables_number 25
_cell_length_a 3.9851
_cell_length_b 5.0462
_cell_length_c 6.9422
_cell_angle_alpha 90.00
_cell_angle_beta 90.00
_cell_angle_gamma 90.00
loop_
_symmetry_equiv_pos_as_xyz
'x,y,z'
'-x,-y,z'
'-x,y,z'
'x,-y,z'
loop_
_atom_site_label
_atom_site_fract_x
_atom_site_fract_y
_atom_site_fract_z
Er1 0.0000 0.0000 0.0000
Lu1 0.0000 0.5000 0.4701
In1 0.5000 0.0000 0.3766
In2 0.5000 0.5000 0.0921
Ni1 0.0000 0.0000 0.6199
Ni2 0.0000 0.5000 0.8460
Ni3 0.5000 0.2513 0.7323
```

Main lines, in order of falling intensity (2θ = 5–70°):
(1 1 1), 2θ = 31.37°, intensity 100; (1 1 2), 2θ = 38.76°, intensity 53; (0 2 2), 2θ = 44.42°, intensity 48; (2 0 0), 2θ = 45.52°, intensity 33; (1 0 2), 2θ = 34.26°, intensity 32; (0 1 3), 2θ = 43.00°, intensity 32; (0 2 0), 2θ = 35.58°, intensity 31; (2 1 3), 2θ = 64.41°, intensity 19; (1 1 3), 2θ = 48.97°, intensity 17; (1 2 0), 2θ = 42.40°, intensity 16